No. 1
Starting from a cell relaxed with PBE, the powder diffraction line list of CsMo was computed for Cu Kα, 1.54184 Å.

Main lines, most intense first (15° ≤ 2θ ≤ 90°):
d (Å)  2θ (°)  I (rel.)
2.515  35.7  100
3.181  28.1  42
1.676  54.8  28
2.737  32.7  22
1.415  66.0  21
2.075  43.6  20
1.580  58.4  15
1.338  70.4  13
1.121  86.9  11
1.154  83.8  9

Structure:
Cell: 3.161 3.161 6.362 Å, 90.00 90.00 120.00°
Positions (direct):
Cs  0.000  0.000  0.000
Mo  0.667  0.333  0.500

=====

No. 2
Starting from a cell relaxed with PBE, the powder diffraction line list of CsMo8 was computed for Cu Kα, 1.54184 Å.

Main lines, most intense first (15° ≤ 2θ ≤ 90°):
d (Å)  2θ (°)  I (rel.)
2.252  40.0  100
1.745  52.4  26
3.900  22.8  23
2.761  32.4  20
1.177  81.8  19
1.301  72.7  16
2.948  30.3  15
1.593  57.9  12
4.503  19.7  9
2.602  34.5  9

Structure:
Cell: 9.004 9.004 2.761 Å, 90.00 90.00 119.94°
Positions (direct):
Cs  0.000  0.000  0.000
Mo  0.177  0.353  0.500
Mo  0.177  0.823  0.500
Mo  0.333  0.667  0.500
Mo  0.353  0.177  0.500
Mo  0.647  0.823  0.500
Mo  0.667  0.333  0.500
Mo  0.823  0.177  0.500
Mo  0.823  0.647  0.500

=====

No. 3
Starting from a cell relaxed with PBE, the powder diffraction line list of CsMoPd was computed for Cu Kα, 1.54184 Å.

Main lines, most intense first (15° ≤ 2θ ≤ 90°):
d (Å)  2θ (°)  I (rel.)
2.562  35.0  100
1.479  62.8  36
4.184  21.2  27
1.812  50.4  17
3.623  24.6  16
1.146  84.6  16
2.185  41.3  14
1.281  74.0  11
1.620  56.8  6
1.662  55.3  6

Structure:
Cell: 5.124 5.124 5.124 Å, 60.00 60.00 60.00°
Positions (direct):
Cs  0.000  0.000  0.000
Mo  0.500  0.500  0.500
Pd  0.250  0.250  0.250